The following is a computed powder diffractogram of Pm4NdPt5. It was derived from a cell relaxed with GGA-PBE, using Cu Kα (weighted mean of Kα1 and Kα2).
Neutral-atom scattering factors, no anomalous dispersion.

Cell and atoms:
a = 3.5701 Å, b = 3.5701 Å, c = 18.1505 Å
α = 90.00°, β = 90.00°, γ = 90.00°
Sites, in units of the cell vectors:
Pm: 0.0000 0.0000 0.0997
Pm: 0.0000 0.0000 0.2991
Pm: 0.0000 0.0000 0.7009
Pm: 0.0000 0.0000 0.9003
Nd: 0.0000 0.0000 0.5000
Pt: 0.5000 0.5000 0.0000
Pt: 0.5000 0.5000 0.1992
Pt: 0.5000 0.5000 0.3980
Pt: 0.5000 0.5000 0.6020
Pt: 0.5000 0.5000 0.8008

Principal peaks in the range 2θ = 15–90°, most intense first:
2θ 35.26, 2.545 Å, I 100
2θ 35.56, 2.524 Å, I 49
2θ 63.67, 1.461 Å, I 36
2θ 63.08, 1.474 Å, I 19
2θ 51.17, 1.785 Å, I 18
2θ 74.56, 1.273 Å, I 11
2θ 50.27, 1.815 Å, I 9
2θ 84.55, 1.146 Å, I 8
2θ 85.96, 1.131 Å, I 8
2θ 86.14, 1.129 Å, I 8